# 1
Diffraction record for Ti3Bi4O12. The powder diffraction line list is calculated, not measured: it uses a structure optimized by DFT (PBE) and Cu Kα (λ = 1.5418 Å).

Top 10 peaks for 2θ from 10° to 90°, in order of falling intensity:
| 2theta | I (rel.) |
| --- | --- |
| 29.69 | 100 |
| 46.97 | 24 |
| 33.00 | 22 |
| 23.14 | 18 |
| 56.91 | 17 |
| 15.87 | 16 |
| 37.58 | 16 |
| 32.47 | 14 |
| 50.87 | 12 |
| 39.57 | 11 |

Structural model:
Cell: 33.508 5.516 5.428 Å, 90.00 90.00 90.00°
Space group Aea2 (No. 41)
Asymmetric unit:
1 Ti 0.000 0.000 0.000 (multiplicity 4)
2 Ti 0.129 0.013 0.012 (multiplicity 8)
3 Bi 0.066 0.077 0.504 (multiplicity 8)
4 Bi 0.212 0.483 0.014 (multiplicity 8)
5 O 0.000 0.245 0.273 (multiplicity 8)
6 O 0.060 0.479 0.518 (multiplicity 8)
7 O 0.117 0.238 0.754 (multiplicity 8)
8 O 0.117 0.239 0.272 (multiplicity 8)
9 O 0.182 0.017 0.018 (multiplicity 8)
10 O 0.250 0.244 0.266 (multiplicity 8)

=====

# 2
Diffraction record for Ti3Bi4O12. The powder diffraction line list is calculated, not measured: it uses a structure optimized by DFT (PBE) and Cu Kα (λ = 1.5418 Å).

Top 10 peaks for 2θ from 10° to 90°, in order of falling intensity:
| 2theta | I (rel.) |
| --- | --- |
| 29.61 | 100 |
| 29.71 | 98 |
| 23.04 | 50 |
| 46.74 | 41 |
| 32.32 | 40 |
| 32.84 | 36 |
| 56.68 | 32 |
| 15.94 | 29 |
| 37.75 | 24 |
| 50.89 | 20 |

Structural model:
Cell: 16.893 5.454 5.540 Å, 90.00 99.16 90.00°
Space group Pc (No. 7)
Asymmetric unit:
1 Ti 0.000 0.248 0.000 (multiplicity 2)
2 Ti 0.257 0.251 0.117 (multiplicity 2)
3 Ti 0.513 0.252 0.249 (multiplicity 2)
4 Bi 0.123 0.251 0.508 (multiplicity 2)
5 Bi 0.389 0.250 0.638 (multiplicity 2)
6 Bi 0.679 0.224 0.786 (multiplicity 2)
7 Bi 0.833 0.275 0.356 (multiplicity 2)
8 O 0.008 0.040 0.309 (multiplicity 2)
9 O 0.036 0.478 0.767 (multiplicity 2)
10 O 0.141 0.180 0.113 (multiplicity 2)
11 O 0.239 0.468 0.425 (multiplicity 2)
12 O 0.277 0.026 0.887 (multiplicity 2)
13 O 0.373 0.329 0.228 (multiplicity 2)
14 O 0.477 0.031 0.975 (multiplicity 2)
15 O 0.505 0.449 0.567 (multiplicity 2)
16 O 0.617 0.192 0.310 (multiplicity 2)
17 O 0.754 0.493 0.591 (multiplicity 2)
18 O 0.758 0.007 0.091 (multiplicity 2)
19 O 0.896 0.315 0.962 (multiplicity 2)

=====

# 3
Diffraction record for Ti3Bi4O12. The powder diffraction line list is calculated, not measured: it uses a structure optimized by DFT (PBE) and Cu Kα (λ = 1.5418 Å).

Top 10 peaks for 2θ from 10° to 90°, in order of falling intensity:
| 2theta | I (rel.) |
| --- | --- |
| 29.93 | 100 |
| 33.01 | 39 |
| 57.05 | 34 |
| 47.37 | 31 |
| 51.11 | 22 |
| 23.33 | 21 |
| 39.67 | 21 |
| 16.00 | 15 |
| 37.89 | 13 |
| 69.24 | 13 |

Structural model:
Cell: 3.838 3.838 33.242 Å, 90.00 90.00 90.00°
Space group I4/mmm (No. 139)
Asymmetric unit:
1 Ti 0.000 0.000 0.000 (multiplicity 2)
2 Ti 0.000 0.000 0.128 (multiplicity 4)
3 Bi 0.000 0.000 0.289 (multiplicity 4)
4 Bi 0.000 0.000 0.433 (multiplicity 4)
5 O 0.000 0.000 0.060 (multiplicity 4)
6 O 0.000 0.000 0.182 (multiplicity 4)
7 O 0.000 0.500 0.000 (multiplicity 4)
8 O 0.000 0.500 0.115 (multiplicity 8)
9 O 0.000 0.500 0.250 (multiplicity 4)

=====

# 4
Diffraction record for Ti3Bi4O12. The powder diffraction line list is calculated, not measured: it uses a structure optimized by DFT (PBE) and Cu Kα (λ = 1.5418 Å).

Top 10 peaks for 2θ from 10° to 90°, in order of falling intensity:
| 2theta | I (rel.) |
| --- | --- |
| 29.45 | 100 |
| 29.90 | 77 |
| 33.12 | 36 |
| 23.20 | 36 |
| 47.04 | 32 |
| 15.82 | 29 |
| 32.44 | 26 |
| 26.79 | 21 |
| 50.85 | 21 |
| 37.45 | 20 |

Structural model:
Cell: 5.521 5.410 16.979 Å, 90.00 98.10 90.00°
Space group C2/m (No. 12)
Asymmetric unit:
1 Ti 0.000 0.000 0.000 (multiplicity 2)
2 Ti 0.135 0.000 0.257 (multiplicity 4)
3 Bi 0.140 0.500 0.132 (multiplicity 4)
4 Bi 0.222 0.500 0.423 (multiplicity 4)
5 O 0.000 0.250 0.500 (multiplicity 4)
6 O 0.035 0.000 0.118 (multiplicity 4)
7 O 0.152 0.241 0.767 (multiplicity 8)
8 O 0.177 0.000 0.363 (multiplicity 4)
9 O 0.250 0.250 0.000 (multiplicity 4)

=====

# 5
Diffraction record for Ti3Bi4O12. The powder diffraction line list is calculated, not measured: it uses a structure optimized by DFT (PBE) and Cu Kα (λ = 1.5418 Å).

Top 10 peaks for 2θ from 10° to 90°, in order of falling intensity:
| 2theta | I (rel.) |
| --- | --- |
| 29.69 | 100 |
| 23.18 | 25 |
| 32.58 | 19 |
| 47.05 | 19 |
| 32.99 | 19 |
| 56.89 | 18 |
| 56.37 | 16 |
| 15.84 | 15 |
| 37.51 | 14 |
| 50.51 | 11 |

Structural model:
Cell: 33.579 5.430 5.496 Å, 90.00 90.08 90.00°
Space group Cc (No. 9)
Asymmetric unit:
1 Ti 0.000 0.245 0.000 (multiplicity 4)
2 Ti 0.126 0.247 0.991 (multiplicity 4)
3 Ti 0.369 0.252 0.495 (multiplicity 4)
4 Bi 0.064 0.254 0.537 (multiplicity 4)
5 Bi 0.208 0.260 0.559 (multiplicity 4)
6 Bi 0.285 0.251 0.051 (multiplicity 4)
7 Bi 0.431 0.245 0.044 (multiplicity 4)
8 O 0.011 0.463 0.251 (multiplicity 4)
9 O 0.058 0.171 0.948 (multiplicity 4)
10 O 0.109 0.467 0.250 (multiplicity 4)
11 O 0.124 0.052 0.672 (multiplicity 4)
12 O 0.179 0.308 0.980 (multiplicity 4)
13 O 0.247 0.002 0.786 (multiplicity 4)
14 O 0.247 0.498 0.282 (multiplicity 4)
15 O 0.317 0.295 0.490 (multiplicity 4)
16 O 0.376 0.036 0.196 (multiplicity 4)
17 O 0.387 0.481 0.750 (multiplicity 4)
18 O 0.443 0.180 0.453 (multiplicity 4)
19 O 0.492 0.454 0.173 (multiplicity 4)

=====

# 6
Diffraction record for TiBi2O6. The powder diffraction line list is calculated, not measured: it uses a structure optimized by DFT (PBE) and Cu Kα (λ = 1.5418 Å).

Top 10 peaks for 2θ from 10° to 90°, in order of falling intensity:
| 2theta | I (rel.) |
| --- | --- |
| 29.83 | 100 |
| 18.24 | 63 |
| 23.40 | 49 |
| 38.25 | 41 |
| 33.33 | 35 |
| 44.20 | 34 |
| 57.41 | 33 |
| 50.61 | 26 |
| 47.85 | 21 |
| 67.18 | 20 |

Structural model:
Cell: 5.376 5.376 4.865 Å, 90.00 90.00 90.00°
Space group P4mm (No. 99)
Asymmetric unit:
1 Ti 0.000 0.000 0.000 (multiplicity 1)
2 Bi 0.000 0.500 0.388 (multiplicity 2)
3 O 0.000 0.000 0.630 (multiplicity 1)
4 O 0.239 0.239 0.141 (multiplicity 4)
5 O 0.500 0.500 0.567 (multiplicity 1)

=====

# 7
Diffraction record for Ti3Bi4O12. The powder diffraction line list is calculated, not measured: it uses a structure optimized by DFT (PBE) and Cu Kα (λ = 1.5418 Å).

Top 10 peaks for 2θ from 10° to 90°, in order of falling intensity:
| 2theta | I (rel.) |
| --- | --- |
| 29.62 | 100 |
| 23.01 | 26 |
| 32.34 | 19 |
| 32.74 | 19 |
| 46.69 | 18 |
| 56.52 | 16 |
| 56.01 | 16 |
| 15.91 | 15 |
| 50.49 | 10 |
| 50.77 | 10 |

Structural model:
Cell: 5.470 33.416 5.536 Å, 90.00 90.00 90.00°
Space group Aea2 (No. 41)
Asymmetric unit:
1 Ti 0.000 0.000 0.000 (multiplicity 4)
2 Ti 0.003 0.127 0.007 (multiplicity 8)
3 Bi 0.003 0.434 0.958 (multiplicity 8)
4 Bi 0.025 0.289 0.930 (multiplicity 8)
5 O 0.064 0.321 0.516 (multiplicity 8)
6 O 0.077 0.058 0.053 (multiplicity 8)
7 O 0.203 0.124 0.320 (multiplicity 8)
8 O 0.223 0.391 0.254 (multiplicity 8)
9 O 0.241 0.249 0.204 (multiplicity 8)
10 O 0.247 0.490 0.786 (multiplicity 8)

=====

# 8
Diffraction record for TiBi2O6. The powder diffraction line list is calculated, not measured: it uses a structure optimized by DFT (PBE) and Cu Kα (λ = 1.5418 Å).

Top 10 peaks for 2θ from 10° to 90°, in order of falling intensity:
| 2theta | I (rel.) |
| --- | --- |
| 31.10 | 100 |
| 23.94 | 71 |
| 34.11 | 50 |
| 39.63 | 50 |
| 19.56 | 48 |
| 59.19 | 33 |
| 45.72 | 33 |
| 38.36 | 31 |
| 49.01 | 30 |
| 25.90 | 29 |

Structural model:
Cell: 3.717 3.717 9.078 Å, 90.00 90.00 90.00°
Space group P4mm (No. 99)
Asymmetric unit:
1 Ti 0.000 0.000 0.000 (multiplicity 1)
2 Bi 0.500 0.500 0.248 (multiplicity 1)
3 Bi 0.500 0.500 0.660 (multiplicity 1)
4 O 0.000 0.000 0.284 (multiplicity 1)
5 O 0.000 0.000 0.809 (multiplicity 1)
6 O 0.000 0.500 0.069 (multiplicity 2)
7 O 0.000 0.500 0.522 (multiplicity 2)